TbMn2Ga8: computed X-ray powder pattern (a wavelength of 1.5418 Å), based on a DFT-relaxed cell (PBE, Alexandria).
Lines closer than 0.1° are merged.

Most intense lines, 2θ from 10° to 90°, low angle first:
2θ = 28.49°, intensity 263
2θ = 31.97°, intensity 913
2θ = 33.28°, intensity 1000
2θ = 34.94°, intensity 701
2θ = 39.43°, intensity 421
2θ = 40.67°, intensity 359
2θ = 41.67°, intensity 683
2θ = 42.01°, intensity 736
2θ = 43.29°, intensity 354
2θ = 51.28°, intensity 530

Crystal structure
Lattice parameters (Å, degrees): 6.639 6.639 4.699 98.14 98.14 99.57
Positions (direct):
Tb (0.000, 0.000, 0.000)
Mn (0.289, 0.711, 0.500)
Mn (0.711, 0.289, 0.500)
Ga (0.090, 0.352, 0.608)
Ga (0.297, 0.703, 0.000)
Ga (0.352, 0.090, 0.608)
Ga (0.373, 0.373, 0.246)
Ga (0.627, 0.627, 0.754)
Ga (0.648, 0.910, 0.392)
Ga (0.703, 0.297, 0.000)
Ga (0.910, 0.648, 0.392)